Structure and computed X-ray powder pattern of Cr4MoF12 (a DFT-relaxed cell (GGA+U, Alexandria); Cu Kα, 1.54184 Å).
Peak positions follow from Bragg's law for the DFT cell and can differ from measured ones.

Top 6 peaks for 2θ from 5° to 70°, in order of rising 2θ:
| 2θ (°) | d/Å | I_rel |
| --- | --- | --- |
| 15.63 | 5.668 | 100 |
| 16.08 | 5.510 | 46 |
| 21.52 | 4.129 | 38 |
| 22.82 | 3.896 | 56 |
| 31.57 | 2.834 | 88 |
| 57.40 | 1.605 | 49 |

Structure:
```
Cr4MoF12
1.0
-3.8921 3.9007 4.1290
3.8921 -3.9007 4.1290
3.8921 3.9007 -4.1290
Cr Mo F
4 1 12
Cartesian
1.9460 1.9504 -2.0645 Cr
1.9460 -1.9504 2.0645 Cr
-1.9460 1.9504 2.0645 Cr
1.9460 1.9504 2.0645 Cr
0.0000 0.0000 0.0000 Mo
3.8921 -1.6553 1.8456 F
1.5517 1.5669 0.0000 F
2.3404 -2.3338 4.1290 F
2.2643 3.9007 -1.8058 F
1.6277 0.0000 2.3231 F
3.8921 1.6553 1.8456 F
0.0000 2.2455 2.2834 F
2.2643 3.9007 1.8058 F
1.6277 0.0000 5.9348 F
1.5517 6.2346 0.0000 F
2.3404 2.3338 4.1290 F
0.0000 5.5560 2.2834 F
```